Diffraction record for Sr2AsPd6. The powder XRD pattern is calculated, not measured: it uses a crystal structure in Alexandria, relaxed with GGA-PBE and a wavelength of 1.5418 Å.
Intensities are scaled so that the largest is 1000.

Top 10 peaks for 2θ from 5° to 70°, sorted by position:
two_theta  I (rel.)
17.67  130
30.08  301
32.86  118
34.23  111
36.56  374
36.92  759
39.42  115
40.90  1000
63.28  241
63.78  120

Atomic structure:
Lattice parameters (Å, degrees): 5.879 5.879 6.168 103.46 103.46 59.53
Element x y z (fractional)
Sr  0.137  0.137  0.329
Sr  0.863  0.863  0.671
As  0.500  0.500  0.500
Pd  0.106  0.614  0.188
Pd  0.383  0.383  0.809
Pd  0.386  0.894  0.812
Pd  0.614  0.106  0.188
Pd  0.617  0.617  0.191
Pd  0.894  0.386  0.812